The following is a computed powder diffraction line list of TiSbP3O12. It was derived from a DFT-relaxed cell (GGA-PBE, the Materials Project), using CuKα.

Principal peaks in the range 2θ from 10° to 80°, by angle:
- 2θ = 14.35°, d 6.172, intensity 82, (0 1 2)
- 2θ = 20.13°, d 4.411, intensity 100, (1 0 4)
- 2θ = 20.56°, d 4.319, intensity 62, (1 1 0)
- 2θ = 23.96°, d 3.715, intensity 80, (1 1 3)
- 2θ = 28.93°, d 3.086, intensity 68, (0 2 4)
- 2θ = 32.16°, d 2.784, intensity 47, (1 1 6)
- 2θ = 35.76°, d 2.511, intensity 27, (2 1 4)
- 2θ = 36.02°, d 2.494, intensity 24, (3 0 0)
- 2θ = 46.22°, d 1.964, intensity 23, (1 2 8)
- 2θ = 46.84°, d 1.940, intensity 18, (1 3 4)
- 2θ = 52.98°, d 1.728, intensity 24, (2 1 10)
- 2θ = 56.36°, d 1.632, intensity 19, (4 1 0)

Atomic structure:
Lattice parameters (Å, degrees): 8.6383 8.6383 21.8429 90.00 90.00 120.00
Space group R3c (No. 161, hexagonal axes)
Unique sites:
Ti: 0.0000 0.0000 0.0000 x6
Sb: 0.0000 0.0000 0.2812 x6
P: 0.0032 0.2866 0.3897 x18
O: 0.0260 0.1973 0.0489 x18
O: 0.0367 0.2084 0.3299 x18
O: 0.1585 0.4749 0.1126 x18
O: 0.1744 0.4743 0.3917 x18